# 1
Starting from DFT lattice parameters and positions (GGA-PBE), the powder XRD pattern of YTmMg2 was computed for Cu Kα.
Kinematic intensities with the Lorentz-polarization factor, no thermal factor.

Peak list (6 most intense, 2θ = 10–90°, by angle)
d/Å  I (rel.)
3.790  44.2
3.758  21.7
2.684  20.4
2.670  100.0
2.182  20.0
1.547  14.9

Crystal structure
```
data_YTmMg2
_cell_length_a 7.516
_cell_length_b 10.701
_cell_length_c 5.369
_cell_angle_alpha 90.00
_cell_angle_beta 90.00
_cell_angle_gamma 90.00
_space_group_name_H-M_alt 'C m c m'
_space_group_IT_number 63
_space_group_name_Hall '-C 2c 2'
loop_
_atom_site_label
_atom_site_fract_x
_atom_site_fract_y
_atom_site_fract_z
Y1 0.000 0.128 0.250
Tm1 0.000 0.378 0.750
Mg1 0.249 0.125 0.750
```

# 2
Starting from DFT lattice parameters and positions (GGA-PBE), the powder XRD pattern of PuRe2B4 was computed for Cu Kα.
Kinematic intensities with the Lorentz-polarization factor, no thermal factor.

Peak list (6 most intense, 2θ = 10–90°, by angle)
d/Å  I (rel.)
3.335  83.7
3.013  47.7
2.654  78.0
2.637  50.4
2.462  100.0
2.329  49.0

Crystal structure
```
data_PuRe2B4
_cell_length_a 11.355
_cell_length_b 5.559
_cell_length_c 5.641
_cell_angle_alpha 90.00
_cell_angle_beta 110.80
_cell_angle_gamma 90.00
_space_group_name_H-M_alt 'C 1 2/c 1'
_space_group_IT_number 15
_space_group_name_Hall '-C 2yc'
loop_
_atom_site_label
_atom_site_fract_x
_atom_site_fract_y
_atom_site_fract_z
Pu1 0.000 0.235 0.250
Re1 0.241 0.429 0.178
B1 0.085 0.332 0.796
B2 0.129 0.105 0.010
```

> What is the formula in the first record?

YTmMg2